(1)
Structure and theoretical powder diffractogram of K2ZrCu2Te4 (the PBE geometry in OQMD; Cu Kα (weighted mean of Kα1 and Kα2)).

Structural model:
Unit cell a=7.879 b=7.879 c=6.197 alpha=90.00 beta=90.00 gamma=133.71
Sites, in units of the cell vectors:
K  0.000  0.500  0.248
K  0.500  0.000  0.752
Zr  0.500  0.500  0.000
Cu  0.000  0.000  0.000
Cu  0.500  0.500  0.500
Te  0.135  0.346  0.741
Te  0.346  0.135  0.259
Te  0.654  0.865  0.259
Te  0.865  0.654  0.741

The 10 most intense peaks (2θ from 15° to 90°), in order of falling intensity:
Position (°2θ), intensity
27.5, 100
38.2, 49
41.2, 37
50.3, 35
21.2, 33
47.8, 31
28.8, 18
48.6, 13
73.1, 13
79.8, 12

***

(2)
Structure and theoretical powder diffractogram of LaPr2Mg3CuPt2 (the PBE geometry in OQMD; Cu Kα (weighted mean of Kα1 and Kα2)).

Structural model:
Unit cell a=4.141 b=7.650 c=7.650 alpha=119.65 beta=90.00 gamma=90.00
Sites, in units of the cell vectors:
La  0.000  0.000  0.000
Pr  0.000  0.418  0.833
Pr  0.000  0.833  0.418
Mg  0.500  0.178  0.420
Mg  0.500  0.420  0.178
Mg  0.500  0.655  0.655
Cu  0.000  0.419  0.419
Pt  0.500  0.085  0.754
Pt  0.500  0.754  0.085

The 10 most intense peaks (2θ from 15° to 90°), in order of falling intensity:
Position (°2θ), intensity
31.8, 100
34.6, 53
34.7, 28
23.3, 26
40.7, 20
43.7, 20
42.2, 16
35.9, 15
23.1, 14
65.4, 13